Nd3Cu2Pt6: computed X-ray powder pattern (Cu Kα X-rays), based on DFT lattice parameters and positions (GGA-PBE).
Kinematic intensities with the Lorentz-polarization factor, no thermal factor.

Top 8 peaks for 2θ = 5–70°, sorted by position:
| 2θ/deg | Rel. int. |
| --- | --- |
| 13.04 | 30 |
| 26.25 | 8 |
| 29.42 | 10 |
| 34.97 | 27 |
| 39.83 | 100 |
| 42.09 | 8 |
| 57.60 | 13 |
| 59.33 | 14 |

Structure:
```
Nd3Cu2Pt6
1.0
-4.801 4.801 4.801
4.801 -4.801 4.801
4.801 4.801 -4.801
Nd Cu Pt
6 4 12
Cartesian
2.871 0.000 0.000
6.731 0.000 0.000
0.000 2.871 0.000
0.000 0.000 2.871
0.000 6.731 0.000
0.000 0.000 6.731
2.400 2.400 -2.400
2.400 -2.400 2.400
-2.400 2.400 2.400
2.400 2.400 2.400
4.801 1.640 -1.640
4.801 -1.640 1.640
1.640 4.801 -1.640
3.161 3.161 0.000
3.161 0.000 3.161
1.640 -1.640 4.801
4.801 1.640 1.640
0.000 3.161 3.161
-1.640 4.801 1.640
-1.640 1.640 4.801
1.640 4.801 1.640
1.640 1.640 4.801
```


TbNdCuPt: computed X-ray powder pattern (Cu Kα X-rays), based on DFT lattice parameters and positions (GGA-PBE).
Kinematic intensities with the Lorentz-polarization factor, no thermal factor.

Top 8 peaks for 2θ = 5–70°, sorted by position:
| 2θ/deg | Rel. int. |
| --- | --- |
| 16.42 | 20 |
| 31.73 | 100 |
| 33.20 | 26 |
| 34.05 | 28 |
| 39.00 | 24 |
| 39.74 | 67 |
| 40.41 | 30 |
| 47.03 | 19 |

Structure:
```
TbNdCuPt
1.0
4.464 0.000 0.000
0.000 1.932 5.397
0.000 -1.932 5.397
Tb Nd Cu Pt
1 1 1 1
Cartesian
0.000 0.000 0.000
2.232 0.000 7.807
0.000 0.000 3.112
2.232 0.000 4.776
```


Nd2ZnCu2Pt5: computed X-ray powder pattern (Cu Kα X-rays), based on DFT lattice parameters and positions (GGA-PBE).
Kinematic intensities with the Lorentz-polarization factor, no thermal factor.

Top 8 peaks for 2θ = 5–70°, sorted by position:
| 2θ/deg | Rel. int. |
| --- | --- |
| 22.69 | 20 |
| 31.06 | 31 |
| 35.21 | 24 |
| 37.75 | 100 |
| 39.13 | 57 |
| 41.32 | 46 |
| 46.34 | 32 |
| 62.22 | 29 |

Structure:
```
Nd2ZnCu2Pt5
1.0
9.491 0.000 0.000
0.000 9.491 0.000
0.000 0.000 3.919
Nd Zn Cu Pt
4 2 4 10
Cartesian
1.682 3.063 0.000
3.063 7.809 0.000
6.428 1.682 0.000
7.809 6.428 0.000
0.000 0.000 0.000
4.745 4.745 0.000
1.151 5.896 0.000
3.595 1.151 0.000
5.896 8.340 0.000
8.340 3.595 0.000
0.000 4.745 1.959
0.618 7.553 1.959
1.938 0.618 1.959
2.807 5.364 1.959
4.127 2.807 1.959
4.745 0.000 1.959
5.364 6.683 1.959
6.683 4.127 1.959
7.553 8.873 1.959
8.873 1.938 1.959
```


Nd2Zn2CuPt5: computed X-ray powder pattern (Cu Kα X-rays), based on DFT lattice parameters and positions (GGA-PBE).
Kinematic intensities with the Lorentz-polarization factor, no thermal factor.

Top 8 peaks for 2θ = 5–70°, sorted by position:
| 2θ/deg | Rel. int. |
| --- | --- |
| 31.26 | 26 |
| 35.22 | 24 |
| 37.65 | 100 |
| 38.22 | 58 |
| 39.37 | 23 |
| 41.07 | 44 |
| 47.83 | 30 |
| 62.81 | 27 |

Structure:
```
Nd2Zn2CuPt5
1.0
9.709 0.000 0.000
0.000 9.709 0.000
0.000 0.000 3.803
Nd Zn Cu Pt
4 4 2 10
Cartesian
1.723 3.131 0.000
3.131 7.986 0.000
6.578 1.723 0.000
7.986 6.578 0.000
1.183 6.038 0.000
3.671 1.183 0.000
6.038 8.526 0.000
8.526 3.671 0.000
0.000 0.000 0.000
4.855 4.855 0.000
0.000 4.855 1.902
0.593 7.764 1.902
1.946 0.593 1.902
2.909 5.448 1.902
4.261 2.909 1.902
4.855 0.000 1.902
5.448 6.800 1.902
6.800 4.261 1.902
7.764 9.116 1.902
9.116 1.946 1.902
```